Record 1
LiFeF3: theoretical PXRD pattern (λ = 1.5418 Å (Cu Kα)), based on the PBE+U geometry in the Materials Project.
Neutral-atom scattering factors, no anomalous dispersion.

The 10 most intense peaks (2θ = 15–90°), in order of rising 2θ:
Position (°2θ), intensity
17.28, 100
24.44, 47
30.09, 54
31.55, 14
32.79, 49
41.31, 28
45.14, 24
52.00, 63
57.09, 14
61.16, 15

```
LiFeF3
1.0
3.642 -5.132 0.000
3.642 5.132 0.000
0.000 0.000 6.453
Li Fe F
4 4 12
Direct
0.000 0.000 0.250
0.000 0.000 0.750
0.497 0.503 0.750
0.503 0.497 0.250
0.000 0.500 0.000
0.000 0.500 0.500
0.500 0.000 0.000
0.500 0.000 0.500
0.052 0.315 0.250
0.065 0.317 0.750
0.315 0.052 0.750
0.317 0.065 0.250
0.360 0.640 0.006
0.360 0.640 0.494
0.640 0.360 0.506
0.640 0.360 0.994
0.683 0.935 0.750
0.685 0.948 0.250
0.935 0.683 0.250
0.948 0.685 0.750
```

=====

Record 2
LiFeF3: theoretical PXRD pattern (λ = 1.5418 Å (Cu Kα)), based on the PBE+U geometry in the Materials Project.
Neutral-atom scattering factors, no anomalous dispersion.

The 10 most intense peaks (2θ = 15–90°), in order of rising 2θ:
Position (°2θ), intensity
16.30, 100
22.72, 15
28.15, 30
29.43, 43
33.24, 24
39.00, 22
40.31, 13
49.53, 12
50.35, 19
52.54, 21

```
LiFeF3
1.0
5.842 -3.914 0.000
5.842 3.914 0.000
-2.120 0.000 5.389
Li Fe F
4 4 12
Direct
0.068 0.932 0.750
0.308 0.692 0.250
0.692 0.308 0.750
0.932 0.068 0.250
0.167 0.339 0.687
0.339 0.167 0.187
0.661 0.833 0.813
0.833 0.661 0.313
0.027 0.346 0.285
0.062 0.791 0.385
0.209 0.938 0.115
0.318 0.417 0.060
0.346 0.027 0.785
0.417 0.318 0.560
0.583 0.682 0.440
0.654 0.973 0.215
0.682 0.583 0.940
0.791 0.062 0.885
0.938 0.209 0.615
0.973 0.654 0.715
```

=====

Record 3
LiFe2F5: theoretical PXRD pattern (λ = 1.5418 Å (Cu Kα)), based on the PBE+U geometry in the Materials Project.
Neutral-atom scattering factors, no anomalous dispersion.

The 10 most intense peaks (2θ = 15–90°), in order of rising 2θ:
Position (°2θ), intensity
17.92, 97
18.83, 21
18.97, 22
24.91, 50
28.92, 100
31.76, 33
32.01, 33
39.89, 22
49.49, 24
49.93, 23

```
LiFe2F5
1.0
5.333 0.000 0.000
-2.619 5.357 0.000
-0.022 -2.895 7.003
Li Fe F
2 4 10
Direct
0.000 0.000 0.000
0.150 0.014 0.507
0.376 0.627 0.167
0.378 0.629 0.669
0.743 0.365 0.421
0.750 0.363 0.922
0.023 0.258 0.516
0.092 0.738 0.582
0.182 0.609 0.911
0.361 0.256 0.014
0.386 0.991 0.308
0.546 0.602 0.410
0.553 0.365 0.676
0.733 0.988 0.810
0.771 0.735 0.081
0.941 0.368 0.177
```

=====

Record 4
LiFe2F7: theoretical PXRD pattern (λ = 1.5418 Å (Cu Kα)), based on the PBE+U geometry in the Materials Project.
Neutral-atom scattering factors, no anomalous dispersion.

The 10 most intense peaks (2θ = 15–90°), in order of rising 2θ:
Position (°2θ), intensity
22.18, 100
23.93, 29
24.26, 35
27.06, 32
33.86, 22
39.87, 18
40.45, 20
52.65, 18
53.22, 22
63.03, 20

```
LiFe2F7
1.0
13.005 0.000 0.000
0.000 5.103 0.000
-0.725 0.000 7.436
Li Fe F
4 8 28
Direct
0.071 0.245 0.353
0.071 0.255 0.853
0.929 0.745 0.147
0.929 0.755 0.647
0.181 0.748 0.156
0.181 0.752 0.656
0.393 0.247 0.724
0.393 0.253 0.224
0.607 0.747 0.776
0.607 0.753 0.276
0.819 0.248 0.344
0.819 0.252 0.844
0.057 0.560 0.688
0.057 0.940 0.188
0.106 0.055 0.577
0.106 0.445 0.077
0.177 0.605 0.408
0.177 0.895 0.908
0.264 0.057 0.248
0.264 0.443 0.748
0.313 0.562 0.142
0.313 0.938 0.642
0.392 0.134 0.974
0.392 0.366 0.474
0.478 0.551 0.801
0.478 0.949 0.301
0.522 0.051 0.699
0.522 0.449 0.199
0.608 0.634 0.526
0.608 0.866 0.026
0.687 0.062 0.358
0.687 0.438 0.858
0.736 0.557 0.252
0.736 0.943 0.752
0.823 0.105 0.092
0.823 0.395 0.592
0.894 0.555 0.923
0.894 0.945 0.423
0.943 0.060 0.812
0.943 0.440 0.312
```

=====

Record 5
LiFe2F5: theoretical PXRD pattern (λ = 1.5418 Å (Cu Kα)), based on the PBE+U geometry in the Materials Project.
Neutral-atom scattering factors, no anomalous dispersion.

The 10 most intense peaks (2θ = 15–90°), in order of rising 2θ:
Position (°2θ), intensity
20.32, 46
21.19, 55
23.74, 100
25.35, 30
30.17, 41
31.49, 100
36.68, 35
41.30, 44
54.42, 37
56.87, 29

```
LiFe2F5
1.0
8.366 0.000 0.000
0.000 6.475 0.000
-0.006 0.000 8.392
Li Fe F
4 8 20
Direct
0.179 0.250 0.171
0.321 0.750 0.671
0.679 0.250 0.329
0.821 0.750 0.829
0.000 0.000 0.500
0.000 0.500 0.500
0.150 0.750 0.120
0.350 0.250 0.620
0.500 0.000 0.000
0.500 0.500 0.000
0.650 0.750 0.380
0.850 0.250 0.880
0.002 0.750 0.951
0.090 0.750 0.355
0.102 0.250 0.381
0.208 0.503 0.631
0.208 0.997 0.631
0.292 0.003 0.131
0.292 0.497 0.131
0.398 0.750 0.881
0.410 0.250 0.855
0.498 0.250 0.451
0.502 0.750 0.549
0.590 0.750 0.145
0.602 0.250 0.119
0.708 0.503 0.869
0.708 0.997 0.869
0.792 0.003 0.369
0.792 0.497 0.369
0.898 0.750 0.619
0.910 0.250 0.645
0.998 0.250 0.049
```

=====

Record 6
LiFeF3: theoretical PXRD pattern (λ = 1.5418 Å (Cu Kα)), based on the PBE+U geometry in the Materials Project.
Neutral-atom scattering factors, no anomalous dispersion.

The 10 most intense peaks (2θ = 15–90°), in order of rising 2θ:
Position (°2θ), intensity
18.00, 100
24.14, 56
30.28, 65
33.21, 56
35.43, 26
41.04, 23
41.48, 36
46.39, 26
52.97, 80
60.86, 18

```
LiFeF3
1.0
4.927 0.000 0.000
0.000 7.374 0.000
0.000 0.000 6.447
Li Fe F
4 4 12
Direct
0.032 0.245 0.250
0.032 0.255 0.750
0.968 0.745 0.250
0.968 0.755 0.750
0.500 0.000 0.000
0.500 0.000 0.500
0.500 0.500 0.000
0.500 0.500 0.500
0.248 0.566 0.750
0.248 0.934 0.250
0.256 0.568 0.250
0.256 0.932 0.750
0.268 0.250 0.000
0.268 0.250 0.500
0.732 0.750 0.000
0.732 0.750 0.500
0.744 0.068 0.250
0.744 0.432 0.750
0.752 0.066 0.750
0.752 0.434 0.250
```

=====

Copy entry 6 word for word.
LiFeF3: theoretical PXRD pattern (λ = 1.5418 Å (Cu Kα)), based on the PBE+U geometry in the Materials Project.
Neutral-atom scattering factors, no anomalous dispersion.

The 10 most intense peaks (2θ = 15–90°), in order of rising 2θ:
Position (°2θ), intensity
18.00, 100
24.14, 56
30.28, 65
33.21, 56
35.43, 26
41.04, 23
41.48, 36
46.39, 26
52.97, 80
60.86, 18

```
LiFeF3
1.0
4.927 0.000 0.000
0.000 7.374 0.000
0.000 0.000 6.447
Li Fe F
4 4 12
Direct
0.032 0.245 0.250
0.032 0.255 0.750
0.968 0.745 0.250
0.968 0.755 0.750
0.500 0.000 0.000
0.500 0.000 0.500
0.500 0.500 0.000
0.500 0.500 0.500
0.248 0.566 0.750
0.248 0.934 0.250
0.256 0.568 0.250
0.256 0.932 0.750
0.268 0.250 0.000
0.268 0.250 0.500
0.732 0.750 0.000
0.732 0.750 0.500
0.744 0.068 0.250
0.744 0.432 0.750
0.752 0.066 0.750
0.752 0.434 0.250
```